[1]
This entry pairs a crystal structure of La2PrNd7Cd2 with its computed XRD peak list. Radiation: Cu Kα, 1.54184 Å. Structure: a cell relaxed with GGA-PBE.

Atomic structure:
abc: 6.5543 6.5543 10.4341
angles: 90.00 90.00 115.41
Fractional positions:
La: 0.0000 0.0000 0.1697
La: 0.0000 0.0000 0.8303
Pr: 0.5000 0.5000 0.5000
Nd: 0.0000 0.0000 0.5000
Nd: 0.0000 0.5000 0.3207
Nd: 0.0000 0.5000 0.6793
Nd: 0.2740 0.7260 0.0000
Nd: 0.5000 0.0000 0.3207
Nd: 0.5000 0.0000 0.6793
Nd: 0.7260 0.2740 0.0000
Cd: 0.5000 0.5000 0.1964
Cd: 0.5000 0.5000 0.8036

The 10 most intense peaks (2θ from 5° to 70°), in order of rising 2θ:
- 2θ 30.19, rel. 47.7
- 2θ 30.34, rel. 100.0
- 2θ 31.41, rel. 26.1
- 2θ 32.32, rel. 44.9
- 2θ 34.85, rel. 25.2
- 2θ 36.41, rel. 25.5
- 2θ 49.46, rel. 23.4
- 2θ 56.38, rel. 24.8
- 2θ 61.62, rel. 26.4
- 2θ 62.79, rel. 14.7

[2]
This entry pairs a crystal structure of Y5Fe2Te2 with its computed XRD peak list. Radiation: Cu Kα, 1.54184 Å. Structure: a cell relaxed with GGA-PBE.

Atomic structure:
abc: 7.7641 7.7641 15.2862
angles: 90.00 90.00 150.41
Fractional positions:
Y: 0.0388 0.9612 0.6180
Y: 0.0388 0.9612 0.8820
Y: 0.2566 0.7434 0.1271
Y: 0.2566 0.7434 0.3729
Y: 0.3989 0.6011 0.7500
Y: 0.6011 0.3989 0.2500
Y: 0.7434 0.2566 0.6271
Y: 0.7434 0.2566 0.8729
Y: 0.9612 0.0388 0.1180
Y: 0.9612 0.0388 0.3820
Fe: 0.1632 0.8368 0.7500
Fe: 0.3971 0.6029 0.2500
Fe: 0.6029 0.3971 0.7500
Fe: 0.8368 0.1632 0.2500
Te: 0.3832 0.6168 0.5400
Te: 0.3832 0.6168 0.9600
Te: 0.6168 0.3832 0.0400
Te: 0.6168 0.3832 0.4600

The 10 most intense peaks (2θ from 5° to 70°), in order of rising 2θ:
- 2θ 28.72, rel. 40.7
- 2θ 29.32, rel. 76.8
- 2θ 31.60, rel. 25.9
- 2θ 33.10, rel. 79.9
- 2θ 33.46, rel. 100.0
- 2θ 33.78, rel. 62.1
- 2θ 37.61, rel. 89.7
- 2θ 45.76, rel. 42.4
- 2θ 57.40, rel. 23.5
- 2θ 57.87, rel. 39.6

[3]
This entry pairs a crystal structure of Cs5ZnSb2 with its computed XRD peak list. Radiation: Cu Kα, 1.54184 Å. Structure: a cell relaxed with GGA-PBE.

Atomic structure:
abc: 6.7419 6.7419 22.1755
angles: 90.00 90.00 120.00
Fractional positions:
Cs: 0.0000 0.0000 0.1399
Cs: 0.0000 0.0000 0.3601
Cs: 0.0000 0.0000 0.6399
Cs: 0.0000 0.0000 0.8601
Cs: 0.3333 0.6667 0.0439
Cs: 0.3333 0.6667 0.2500
Cs: 0.3333 0.6667 0.4561
Cs: 0.6667 0.3333 0.5439
Cs: 0.6667 0.3333 0.7500
Cs: 0.6667 0.3333 0.9561
Zn: 0.3333 0.6667 0.7500
Zn: 0.6667 0.3333 0.2500
Sb: 0.3333 0.6667 0.6357
Sb: 0.3333 0.6667 0.8643
Sb: 0.6667 0.3333 0.1357
Sb: 0.6667 0.3333 0.3643

The 10 most intense peaks (2θ from 5° to 70°), in order of rising 2θ:
- 2θ 22.11, rel. 27.2
- 2θ 25.22, rel. 51.4
- 2θ 26.44, rel. 100.0
- 2θ 36.86, rel. 18.8
- 2θ 42.21, rel. 12.0
- 2θ 45.93, rel. 19.9
- 2θ 46.67, rel. 20.8
- 2θ 49.18, rel. 24.7
- 2θ 54.44, rel. 13.1
- 2θ 63.61, rel. 11.4

Q: What is the formula in the third record?
A: Cs5ZnSb2

Q: What is the formula in the first record?
A: La2PrNd7Cd2